For Rb2UBr4O4, the GGA-PBE geometry in the Materials Project gives the simulated powder X-ray diffraction pattern in this record (a wavelength of 1.5418 Å).
Neutral-atom scattering factors, no anomalous dispersion.

Main lines, sorted by position (10° ≤ 2θ ≤ 80°):
Position (°2θ), d [Å], Rel. int.
11.50, 7.692, 59
14.70, 6.024, 32
16.30, 5.439, 29
17.13, 5.177, 62
24.94, 3.570, 100
26.36, 3.381, 80
28.15, 3.170, 43
29.00, 3.079, 53
34.02, 2.635, 32
39.91, 2.259, 42

Crystal structure
Cell lengths 6.915, 6.935, 7.941 Å; angles 91.72, 102.05, 115.96 degrees
Positions (direct):
Rb  0.171  0.419  0.260
Rb  0.829  0.581  0.740
U  0.500  0.000  0.000
Br  0.222  0.182  0.844
Br  0.406  0.768  0.665
Br  0.594  0.232  0.335
Br  0.778  0.818  0.156
O  0.093  0.376  0.617
O  0.258  0.777  0.039
O  0.742  0.223  0.961
O  0.907  0.624  0.383



For Sb4Br2O5, the GGA-PBE geometry in the Materials Project gives the simulated powder X-ray diffraction pattern in this record (a wavelength of 1.5418 Å).
Neutral-atom scattering factors, no anomalous dispersion.

Main lines, sorted by position (10° ≤ 2θ ≤ 80°):
Position (°2θ), d [Å], Rel. int.
13.22, 6.697, 11
22.88, 3.886, 26
25.89, 3.442, 100
27.91, 3.197, 54
31.77, 2.816, 12
33.22, 2.697, 45
34.81, 2.577, 11
39.52, 2.280, 18
40.41, 2.232, 17
43.11, 2.099, 25

Crystal structure
Cell lengths 6.735, 5.247, 13.816 Å; angles 90.00, 96.09, 90.00 degrees
Positions (direct):
Sb  0.173  0.222  0.049
Sb  0.173  0.278  0.549
Sb  0.192  0.607  0.296
Sb  0.192  0.893  0.796
Sb  0.808  0.107  0.204
Sb  0.808  0.393  0.704
Sb  0.827  0.722  0.451
Sb  0.827  0.778  0.951
Br  0.491  0.213  0.382
Br  0.491  0.287  0.882
Br  0.509  0.713  0.118
Br  0.509  0.787  0.618
O  0.000  0.000  0.500
O  0.000  0.500  0.000
O  0.068  0.007  0.918
O  0.068  0.493  0.418
O  0.070  0.171  0.709
O  0.070  0.329  0.209
O  0.930  0.671  0.791
O  0.930  0.829  0.291
O  0.932  0.507  0.582
O  0.932  0.993  0.082



For Sb4BrO6, the GGA-PBE geometry in the Materials Project gives the simulated powder X-ray diffraction pattern in this record (a wavelength of 1.5418 Å).
Neutral-atom scattering factors, no anomalous dispersion.

Main lines, sorted by position (10° ≤ 2θ ≤ 80°):
Position (°2θ), d [Å], Rel. int.
21.48, 4.137, 17
22.59, 3.936, 13
27.10, 3.291, 100
28.97, 3.082, 28
30.38, 2.942, 32
32.88, 2.724, 46
33.04, 2.711, 15
43.75, 2.069, 27
48.24, 1.887, 10
54.19, 1.693, 12

Crystal structure
Cell lengths 9.804, 9.804, 10.865 Å; angles 108.87, 108.87, 24.37 degrees
Positions (direct):
Sb  0.003  0.003  0.217
Sb  0.190  0.190  0.846
Sb  0.233  0.233  0.324
Sb  0.421  0.421  0.524
Sb  0.579  0.579  0.476
Sb  0.767  0.767  0.676
Sb  0.810  0.810  0.154
Sb  0.997  0.997  0.783
Br  0.391  0.391  0.984
Br  0.609  0.609  0.016
O  0.070  0.070  0.415
O  0.085  0.085  0.723
O  0.234  0.234  0.699
O  0.297  0.297  0.203
O  0.314  0.314  0.500
O  0.468  0.468  0.720
O  0.532  0.532  0.280
O  0.686  0.686  0.500
O  0.703  0.703  0.797
O  0.766  0.766  0.301
O  0.915  0.915  0.277
O  0.930  0.930  0.585



For ScBr3O7, the GGA-PBE geometry in the Materials Project gives the simulated powder X-ray diffraction pattern in this record (a wavelength of 1.5418 Å).
Neutral-atom scattering factors, no anomalous dispersion.

Main lines, sorted by position (10° ≤ 2θ ≤ 80°):
Position (°2θ), d [Å], Rel. int.
19.38, 4.580, 89
26.85, 3.321, 40
27.17, 3.282, 100
29.25, 3.053, 91
29.57, 3.021, 62
30.01, 2.978, 94
34.57, 2.595, 37
40.34, 2.236, 37
49.23, 1.851, 49
50.33, 1.813, 26

Crystal structure
Cell lengths 6.566, 9.160, 9.691 Å; angles 90.00, 131.56, 90.00 degrees
Positions (direct):
Sc  0.000  0.141  0.250
Sc  0.000  0.859  0.750
Br  0.261  0.172  0.015
Br  0.261  0.828  0.515
Br  0.500  0.232  0.750
Br  0.500  0.768  0.250
Br  0.739  0.172  0.485
Br  0.739  0.828  0.985
O  0.000  0.091  0.750
O  0.000  0.909  0.250
O  0.123  0.497  0.292
O  0.123  0.503  0.792
O  0.152  0.211  0.502
O  0.152  0.789  0.002
O  0.377  0.180  0.328
O  0.377  0.820  0.828
O  0.623  0.180  0.172
O  0.623  0.820  0.672
O  0.848  0.211  0.998
O  0.848  0.789  0.498
O  0.877  0.497  0.208
O  0.877  0.503  0.708



For ScBr3O7, the GGA-PBE geometry in the Materials Project gives the simulated powder X-ray diffraction pattern in this record (a wavelength of 1.5418 Å).
Neutral-atom scattering factors, no anomalous dispersion.

Main lines, sorted by position (10° ≤ 2θ ≤ 80°):
Position (°2θ), d [Å], Rel. int.
10.57, 8.371, 19
21.23, 4.186, 99
28.75, 3.105, 100
32.82, 2.728, 46
33.21, 2.698, 23
35.21, 2.549, 25
39.75, 2.268, 22
42.18, 2.142, 14
45.20, 2.006, 25
53.31, 1.718, 16

Crystal structure
Cell lengths 5.463, 8.371, 8.665 Å; angles 90.00, 119.55, 90.00 degrees
Positions (direct):
Sc  0.000  0.154  0.250
Sc  0.000  0.846  0.750
Br  0.204  0.247  0.988
Br  0.204  0.753  0.488
Br  0.500  0.258  0.750
Br  0.500  0.742  0.250
Br  0.796  0.247  0.512
Br  0.796  0.753  0.012
O  0.000  0.080  0.750
O  0.000  0.920  0.250
O  0.139  0.362  0.128
O  0.139  0.638  0.628
O  0.232  0.080  0.104
O  0.232  0.920  0.604
O  0.423  0.239  0.488
O  0.423  0.761  0.988
O  0.577  0.239  0.012
O  0.577  0.761  0.512
O  0.768  0.080  0.396
O  0.768  0.920  0.896
O  0.861  0.362  0.372
O  0.861  0.638  0.872



For SeBr6O2, the GGA-PBE geometry in the Materials Project gives the simulated powder X-ray diffraction pattern in this record (a wavelength of 1.5418 Å).
Neutral-atom scattering factors, no anomalous dispersion.

Main lines, sorted by position (10° ≤ 2θ ≤ 80°):
Position (°2θ), d [Å], Rel. int.
18.09, 4.903, 67
30.23, 2.957, 14
31.61, 2.831, 100
36.66, 2.452, 91
40.08, 2.250, 13
41.17, 2.193, 32
52.81, 1.733, 60
56.29, 1.634, 16
62.86, 1.478, 37
66.00, 1.415, 20

Crystal structure
Cell lengths 6.934, 6.934, 6.934 Å; angles 60.00, 60.00, 60.00 degrees
Positions (direct):
Se  0.000  0.000  0.000
Br  0.259  0.259  0.741
Br  0.259  0.741  0.259
Br  0.259  0.741  0.741
Br  0.741  0.259  0.259
Br  0.741  0.259  0.741
Br  0.741  0.741  0.259
O  0.250  0.250  0.250
O  0.750  0.750  0.750



For Sm4Br6O, the GGA-PBE geometry in the Materials Project gives the simulated powder X-ray diffraction pattern in this record (a wavelength of 1.5418 Å).
Neutral-atom scattering factors, no anomalous dispersion.

Main lines, sorted by position (10° ≤ 2θ ≤ 80°):
Position (°2θ), d [Å], Rel. int.
15.45, 5.736, 42
24.56, 3.625, 42
31.21, 2.866, 100
34.93, 2.569, 32
35.04, 2.561, 41
36.77, 2.444, 41
38.52, 2.337, 53
40.06, 2.251, 28
53.03, 1.727, 17
60.43, 1.532, 27

Crystal structure
Cell lengths 9.349, 9.349, 8.127 Å; angles 90.00, 90.00, 120.00 degrees
Positions (direct):
Sm  0.195  0.390  0.000
Sm  0.195  0.805  0.000
Sm  0.333  0.667  0.311
Sm  0.390  0.195  0.500
Sm  0.610  0.805  0.000
Sm  0.667  0.333  0.811
Sm  0.805  0.195  0.500
Sm  0.805  0.610  0.500
Br  0.034  0.517  0.681
Br  0.135  0.270  0.366
Br  0.135  0.865  0.366
Br  0.270  0.135  0.866
Br  0.483  0.517  0.681
Br  0.483  0.966  0.681
Br  0.517  0.034  0.181
Br  0.517  0.483  0.181
Br  0.730  0.865  0.366
Br  0.865  0.135  0.866
Br  0.865  0.730  0.866
Br  0.966  0.483  0.181
O  0.333  0.667  0.017
O  0.667  0.333  0.517



For SmBrO, the GGA-PBE geometry in the Materials Project gives the simulated powder X-ray diffraction pattern in this record (a wavelength of 1.5418 Å).
Neutral-atom scattering factors, no anomalous dispersion.

Main lines, sorted by position (10° ≤ 2θ ≤ 80°):
Position (°2θ), d [Å], Rel. int.
10.16, 8.705, 43
30.55, 2.926, 100
32.02, 2.795, 44
38.27, 2.352, 8
38.49, 2.339, 10
45.91, 1.976, 21
47.71, 1.906, 8
53.35, 1.717, 15
56.16, 1.638, 35
76.15, 1.250, 8

Crystal structure
Cell lengths 3.953, 3.953, 8.705 Å; angles 90.00, 90.00, 90.00 degrees
Positions (direct):
Sm  0.250  0.250  0.136
Sm  0.750  0.750  0.864
Br  0.250  0.250  0.674
Br  0.750  0.750  0.326
O  0.250  0.750  0.000
O  0.750  0.250  0.000